Entry 1:
TeRhW2: computed powder diffraction line list (CuKα), based on the PBE geometry in Alexandria.
Peak positions follow from Bragg's law for the DFT cell and can differ from measured ones.

Main lines, in order of rising 2θ (10 to 80 degrees two-theta):
| two_theta | I_rel |
| --- | --- |
| 37.8 | 43.5 |
| 38.1 | 100.0 |
| 40.0 | 46.1 |
| 42.2 | 77.4 |
| 49.5 | 18.4 |
| 60.0 | 16.3 |
| 68.5 | 16.4 |
| 73.1 | 12.9 |
| 74.5 | 14.8 |
| 76.9 | 13.1 |

Structural model:
Lattice parameters (Å, degrees): 9.4843 3.0847 4.8628 90.00 107.95 90.00
Sites, in units of the cell vectors:
Te1 0.0000 0.0000 0.0000
Te2 0.5000 0.5000 0.0000
Rh1 0.2447 0.5000 0.3308
Rh2 0.7447 0.0000 0.3308
W1 0.2443 0.0000 0.7975
W2 0.4836 0.0000 0.4720
W3 0.7443 0.5000 0.7975
W4 0.9836 0.5000 0.4720

Entry 2:
Dy3BiTe6: computed powder diffraction line list (CuKα), based on the PBE geometry in Alexandria.
Peak positions follow from Bragg's law for the DFT cell and can differ from measured ones.

Main lines, in order of rising 2θ (10 to 80 degrees two-theta):
| two_theta | I_rel |
| --- | --- |
| 16.9 | 33.2 |
| 19.5 | 24.1 |
| 21.9 | 33.0 |
| 24.0 | 31.3 |
| 31.1 | 100.0 |
| 37.0 | 64.3 |
| 37.1 | 24.2 |
| 44.7 | 14.3 |
| 46.9 | 12.6 |
| 49.1 | 12.5 |

Structural model:
Lattice parameters (Å, degrees): 9.0834 9.0834 9.0834 90.19 90.19 90.19
Sites, in units of the cell vectors:
Dy1 0.0680 0.7409 0.5785
Dy2 0.2591 0.4215 0.9320
Dy3 0.4215 0.9320 0.2591
Dy4 0.5785 0.0680 0.7409
Dy5 0.7409 0.5785 0.0680
Dy6 0.9320 0.2591 0.4215
Bi1 0.0000 0.0000 0.0000
Bi2 0.5000 0.5000 0.5000
Te1 0.0315 0.6755 0.9048
Te2 0.0952 0.9685 0.3245
Te3 0.1814 0.4113 0.5979
Te4 0.3245 0.0952 0.9685
Te5 0.4021 0.8186 0.5887
Te6 0.4113 0.5979 0.1814
Te7 0.5887 0.4021 0.8186
Te8 0.5979 0.1814 0.4113
Te9 0.6755 0.9048 0.0315
Te10 0.8186 0.5887 0.4021
Te11 0.9048 0.0315 0.6755
Te12 0.9685 0.3245 0.0952

Entry 3:
DyBr2: computed powder diffraction line list (CuKα), based on the PBE geometry in Alexandria.
Peak positions follow from Bragg's law for the DFT cell and can differ from measured ones.

Main lines, in order of rising 2θ (10 to 80 degrees two-theta):
| two_theta | I_rel |
| --- | --- |
| 11.3 | 100.0 |
| 27.3 | 19.4 |
| 29.1 | 17.9 |
| 30.3 | 25.6 |
| 33.5 | 28.3 |
| 35.3 | 26.7 |
| 37.3 | 29.0 |
| 46.4 | 16.0 |
| 47.2 | 30.1 |
| 60.2 | 16.5 |

Structural model:
Lattice parameters (Å, degrees): 3.8576 3.8576 31.3450 90.00 90.00 120.00
Sites, in units of the cell vectors:
Dy1 0.2416 0.2433 0.1235
Dy2 0.2433 0.2416 0.8765
Dy3 0.7567 0.7584 0.3765
Dy4 0.7584 0.7567 0.6235
Br1 0.0900 0.4250 0.3170
Br2 0.0899 0.4251 0.4360
Br3 0.4251 0.0899 0.5640
Br4 0.4250 0.0900 0.6830
Br5 0.5749 0.9101 0.0640
Br6 0.5750 0.9100 0.1830
Br7 0.9100 0.5750 0.8170
Br8 0.9101 0.5749 0.9360

Entry 4:
LiAc4Au: computed powder diffraction line list (CuKα), based on the PBE geometry in Alexandria.
Peak positions follow from Bragg's law for the DFT cell and can differ from measured ones.

Main lines, in order of rising 2θ (10 to 80 degrees two-theta):
| two_theta | I_rel |
| --- | --- |
| 12.3 | 21.7 |
| 17.8 | 18.0 |
| 24.8 | 100.0 |
| 25.3 | 17.0 |
| 28.3 | 36.2 |
| 33.3 | 30.7 |
| 34.6 | 20.7 |
| 36.1 | 16.1 |
| 42.3 | 40.6 |
| 45.3 | 19.8 |

Structural model:
Lattice parameters (Å, degrees): 8.7464 8.7464 8.7464 110.62 110.62 107.20
Sites, in units of the cell vectors:
Li1 0.0000 0.0000 0.0000
Li2 0.7500 0.2500 0.5000
Ac1 0.2047 0.5105 0.6941
Ac2 0.2605 0.0664 0.8059
Ac3 0.2605 0.4547 0.1941
Ac4 0.3013 0.9924 0.3089
Ac5 0.6835 0.9924 0.6911
Ac6 0.7424 0.5513 0.8089
Ac7 0.7424 0.9335 0.1911
Ac8 0.8164 0.5105 0.3059
Au1 0.2523 0.7523 0.5000
Au2 0.5023 0.5023 0.0000

Entry 5:
PrNd2Y3As6: computed powder diffraction line list (CuKα), based on the PBE geometry in Alexandria.
Peak positions follow from Bragg's law for the DFT cell and can differ from measured ones.

Main lines, in order of rising 2θ (10 to 80 degrees two-theta):
| two_theta | I_rel |
| --- | --- |
| 24.8 | 3.2 |
| 26.0 | 8.1 |
| 30.1 | 100.0 |
| 43.0 | 74.0 |
| 50.9 | 3.9 |
| 53.4 | 25.9 |
| 62.5 | 12.0 |
| 70.9 | 32.7 |
| 78.8 | 18.3 |
| 78.9 | 5.9 |

Structural model:
Lattice parameters (Å, degrees): 9.3986 9.3986 8.4045 102.84 102.84 25.87
Sites, in units of the cell vectors:
Pr1 0.0000 0.0000 0.0000
Nd1 0.3332 0.3332 0.6665
Nd2 0.6668 0.6668 0.3335
Y1 0.0000 0.0000 0.5000
Y2 0.3334 0.3334 0.1670
Y3 0.6666 0.6666 0.8330
As1 0.1648 0.1648 0.5880
As2 0.1691 0.1691 0.0787
As3 0.4982 0.4982 0.2563
As4 0.5018 0.5018 0.7437
As5 0.8309 0.8309 0.9213
As6 0.8352 0.8352 0.4120

Entry 6:
CoNi5I12: computed powder diffraction line list (CuKα), based on the PBE geometry in Alexandria.
Peak positions follow from Bragg's law for the DFT cell and can differ from measured ones.

Main lines, in order of rising 2θ (10 to 80 degrees two-theta):
| two_theta | I_rel |
| --- | --- |
| 12.1 | 81.0 |
| 24.4 | 18.6 |
| 26.8 | 26.2 |
| 28.8 | 100.0 |
| 32.0 | 55.6 |
| 36.0 | 35.5 |
| 40.6 | 31.8 |
| 45.8 | 20.9 |
| 46.5 | 41.9 |
| 57.2 | 25.6 |

Structural model:
Lattice parameters (Å, degrees): 6.8354 6.8354 14.6033 90.01 90.01 120.14
Sites, in units of the cell vectors:
Co1 0.0000 0.0000 0.0000
Ni1 0.1667 0.8333 0.5000
Ni2 0.3331 0.6669 0.0000
Ni3 0.5000 0.5000 0.5000
Ni4 0.6669 0.3331 0.0000
Ni5 0.8333 0.1667 0.5000
I1 0.0003 0.3297 0.8981
I2 0.9997 0.6703 0.1019
I3 0.1666 0.1666 0.6033
I4 0.1667 0.5000 0.3966
I5 0.3261 0.3261 0.1007
I6 0.3297 0.0003 0.8981
I7 0.5000 0.1667 0.3966
I8 0.5000 0.8333 0.6034
I9 0.6703 0.9997 0.1019
I10 0.6739 0.6739 0.8993
I11 0.8333 0.5000 0.6034
I12 0.8334 0.8334 0.3967

Entry 7:
DyGe2BRu2: computed powder diffraction line list (CuKα), based on the PBE geometry in Alexandria.
Peak positions follow from Bragg's law for the DFT cell and can differ from measured ones.

Main lines, in order of rising 2θ (10 to 80 degrees two-theta):
| two_theta | I_rel |
| --- | --- |
| 26.9 | 19.7 |
| 32.7 | 10.7 |
| 34.6 | 100.0 |
| 39.4 | 44.8 |
| 43.5 | 48.7 |
| 45.2 | 10.0 |
| 59.6 | 11.0 |
| 60.1 | 25.5 |
| 63.2 | 15.7 |
| 74.1 | 21.5 |

Structural model:
Lattice parameters (Å, degrees): 4.1605 4.1605 5.4755 90.00 90.00 90.00
Sites, in units of the cell vectors:
Dy1 0.0000 0.0000 0.0000
Ge1 0.5000 0.5000 0.2210
Ge2 0.5000 0.5000 0.7790
B1 0.0000 0.0000 0.5000
Ru1 0.0000 0.5000 0.5000
Ru2 0.5000 0.0000 0.5000

Entry 8:
K5Rb7Na: computed powder diffraction line list (CuKα), based on the PBE geometry in Alexandria.
Peak positions follow from Bragg's law for the DFT cell and can differ from measured ones.

Main lines, in order of rising 2θ (10 to 80 degrees two-theta):
| two_theta | I_rel |
| --- | --- |
| 21.8 | 48.3 |
| 22.2 | 32.2 |
| 22.6 | 55.7 |
| 23.2 | 63.5 |
| 23.3 | 93.0 |
| 23.7 | 100.0 |
| 23.9 | 90.1 |
| 26.5 | 24.4 |
| 37.4 | 29.6 |
| 44.6 | 27.5 |

Structural model:
Lattice parameters (Å, degrees): 12.4426 12.4426 7.6233 106.47 106.47 70.83
Sites, in units of the cell vectors:
K1 0.0000 0.0000 0.0000
K2 0.2196 0.8731 0.5501
K3 0.2359 0.6173 0.9426
K4 0.6173 0.2359 0.9426
K5 0.8731 0.2196 0.5501
Rb1 0.0602 0.3886 0.2233
Rb2 0.3886 0.0602 0.2233
Rb3 0.4527 0.4527 0.4690
Rb4 0.5804 0.8852 0.7299
Rb5 0.6126 0.6126 0.1178
Rb6 0.8513 0.8513 0.3465
Rb7 0.8852 0.5804 0.7299
Na1 0.2440 0.2440 0.7427

Entry 9:
Ta8NiC4S8: computed powder diffraction line list (CuKα), based on the PBE geometry in Alexandria.
Peak positions follow from Bragg's law for the DFT cell and can differ from measured ones.

Main lines, in order of rising 2θ (10 to 80 degrees two-theta):
| two_theta | I_rel |
| --- | --- |
| 10.3 | 100.0 |
| 31.5 | 38.7 |
| 34.4 | 36.9 |
| 36.0 | 44.6 |
| 40.0 | 23.6 |
| 42.3 | 52.5 |
| 55.7 | 23.9 |
| 56.7 | 15.2 |
| 65.4 | 14.4 |
| 72.4 | 21.9 |

Structural model:
Lattice parameters (Å, degrees): 9.3628 9.3628 9.3628 41.28 41.28 41.28
Sites, in units of the cell vectors:
Ta1 0.1177 0.6229 0.6229
Ta2 0.1213 0.1213 0.1213
Ta3 0.3771 0.3771 0.8823
Ta4 0.3771 0.8823 0.3771
Ta5 0.6229 0.1177 0.6229
Ta6 0.6229 0.6229 0.1177
Ta7 0.8787 0.8787 0.8787
Ta8 0.8823 0.3771 0.3771
Ni1 0.0000 0.0000 0.0000
C1 0.0000 0.0000 0.5000
C2 0.0000 0.5000 0.0000
C3 0.5000 0.0000 0.0000
C4 0.5000 0.5000 0.5000
S1 0.2244 0.2244 0.7219
S2 0.2244 0.7219 0.2244
S3 0.2757 0.2757 0.2757
S4 0.2781 0.7756 0.7756
S5 0.7219 0.2244 0.2244
S6 0.7243 0.7243 0.7243
S7 0.7756 0.2781 0.7756
S8 0.7756 0.7756 0.2781

Entry 10:
DyYCd4: computed powder diffraction line list (CuKα), based on the PBE geometry in Alexandria.
Peak positions follow from Bragg's law for the DFT cell and can differ from measured ones.

Main lines, in order of rising 2θ (10 to 80 degrees two-theta):
| two_theta | I_rel |
| --- | --- |
| 33.3 | 100.0 |
| 36.1 | 29.1 |
| 36.2 | 57.8 |
| 49.9 | 21.0 |
| 50.0 | 10.1 |
| 53.0 | 9.4 |
| 63.1 | 10.0 |
| 63.3 | 20.0 |
| 65.0 | 9.9 |
| 65.9 | 28.6 |

Structural model:
Lattice parameters (Å, degrees): 3.4551 4.9764 8.5861 90.00 90.00 90.00
Sites, in units of the cell vectors:
Dy1 0.0000 0.0000 0.0000
Y1 0.0000 0.5000 0.5000
Cd1 0.5000 0.0000 0.3327
Cd2 0.5000 0.0000 0.6673
Cd3 0.5000 0.5000 0.1669
Cd4 0.5000 0.5000 0.8331

Entry 11:
Pu3TlTc: computed powder diffraction line list (CuKα), based on the PBE geometry in Alexandria.
Peak positions follow from Bragg's law for the DFT cell and can differ from measured ones.

Main lines, in order of rising 2θ (10 to 80 degrees two-theta):
| two_theta | I_rel |
| --- | --- |
| 16.4 | 16.7 |
| 28.6 | 13.8 |
| 33.1 | 100.0 |
| 40.9 | 18.6 |
| 44.3 | 33.5 |
| 50.6 | 10.0 |
| 53.6 | 19.6 |
| 59.2 | 34.2 |
| 69.6 | 11.6 |
| 76.9 | 11.5 |

Structural model:
Lattice parameters (Å, degrees): 6.2454 6.2454 3.1174 90.00 90.00 120.00
Sites, in units of the cell vectors:
Pu1 0.0817 0.5409 0.0000
Pu2 0.4591 0.5409 0.0000
Pu3 0.4591 0.9183 0.0000
Tl1 0.0000 0.0000 0.5000
Tc1 0.6667 0.3333 0.5000

Entry 12:
Sr4CaS4O16: computed powder diffraction line list (CuKα), based on the PBE geometry in Alexandria.
Peak positions follow from Bragg's law for the DFT cell and can differ from measured ones.

Main lines, in order of rising 2θ (10 to 80 degrees two-theta):
| two_theta | I_rel |
| --- | --- |
| 16.4 | 30.6 |
| 21.9 | 37.1 |
| 25.4 | 37.3 |
| 25.6 | 100.0 |
| 27.4 | 31.8 |
| 32.5 | 19.9 |
| 34.8 | 32.0 |
| 35.0 | 24.4 |
| 37.4 | 26.9 |
| 42.4 | 20.4 |

Structural model:
Lattice parameters (Å, degrees): 4.8146 5.1578 16.3468 90.00 95.90 90.00
Sites, in units of the cell vectors:
Sr1 0.0000 0.0000 0.0000
Sr2 0.0512 0.5000 0.3196
Sr3 0.4240 0.5000 0.7347
Sr4 0.7896 0.0000 0.5607
Ca1 0.5135 0.5000 0.1495
S1 0.2398 0.5000 0.5345
S2 0.5311 0.0000 0.3261
S3 0.5479 0.5000 0.9641
S4 0.9841 0.0000 0.7618
O1 0.2293 0.0000 0.3377
O2 0.2942 0.0000 0.7631
O3 0.3385 0.2650 0.5835
O4 0.3385 0.7350 0.5835
O5 0.3475 0.5000 0.4537
O6 0.3825 0.5000 0.8838
O7 0.4805 0.2658 0.0144
O8 0.4805 0.7342 0.0144
O9 0.5932 0.2395 0.2788
O10 0.5932 0.7605 0.2788
O11 0.7091 0.0000 0.4055
O12 0.8525 0.5000 0.9571
O13 0.8750 0.2345 0.7135
O14 0.8750 0.7655 0.7135
O15 0.8939 0.0000 0.8446
O16 0.9277 0.5000 0.5259